# Ni6GeW
Calculated X-ray powder pattern, Cu Kα, 1.54184 Å. Input: a cell relaxed with GGA-PBE.

The 8 most intense peaks (10 to 80 degrees two-theta), sorted by position:
2θ 17.54, I = 150, hkl 0 0 2; 2θ 22.85, I = 278, hkl 1 1 1; 2θ 30.39, I = 110, hkl 0 2 2; 2θ 42.89, I = 1000, hkl 2 2 0; 2θ 43.68, I = 945, hkl 0 2 4; 2θ 50.41, I = 919, hkl 0 4 0; 2θ 72.89, I = 108, hkl 4 0 0; 2θ 74.09, I = 367, hkl 2 4 4

Structural model:
Lattice parameters (Å, degrees): 5.1910 7.2325 10.1149 90.00 90.00 90.00
Space group Fmmm (No. 69)
One atom of each set of equivalent atoms:
1 Ni 0.0000 0.0000 0.2487 x8
2 Ni 0.2500 0.2500 0.1278 x16
3 Ge 0.0000 0.0000 0.5000 x4
4 W 0.0000 0.0000 0.0000 x4

---

# SrAuS3
Calculated X-ray powder pattern, Cu Kα, 1.54184 Å. Input: a cell relaxed with GGA-PBE.

The 8 most intense peaks (10 to 80 degrees two-theta), sorted by position:
2θ 17.72, I = 641, hkl 1 0 0; 2θ 22.43, I = 918, hkl 1 0 1; 2θ 24.04, I = 1000, hkl 1 1 -1; 2θ 27.55, I = 698, hkl 1 1 1; 2θ 31.89, I = 845, hkl 0 2 0; 2θ 34.04, I = 499, hkl 0 1 3; 2θ 35.89, I = 518, hkl 2 0 0; 2θ 48.75, I = 556, hkl 2 2 0

Structural model:
Lattice parameters (Å, degrees): 5.1697 5.6132 9.2426 90.00 104.54 90.00
Space group P2_1 (No. 4)
One atom of each set of equivalent atoms:
1 Sr 0.0750 0.0000 0.3014 x2
2 Au 0.4927 0.4437 0.1312 x2
3 S 0.0713 0.5002 0.3835 x2
4 S 0.4649 0.4185 0.3809 x2
5 S 0.4966 0.9419 0.1218 x2

---

# ThFe12
Calculated X-ray powder pattern, Cu Kα, 1.54184 Å. Input: a cell relaxed with GGA-PBE.

The 8 most intense peaks (10 to 80 degrees two-theta), sorted by position:
2θ 21.69, I = 233, hkl 1 0 1; 2θ 30.24, I = 628, hkl 2 1 1; 2θ 33.19, I = 242, hkl 3 1 0; 2θ 36.99, I = 483, hkl 3 0 1; 2θ 42.35, I = 580, hkl 4 0 0; 2θ 42.82, I = 1000, hkl 3 2 1; 2θ 44.21, I = 670, hkl 2 0 2; 2θ 77.79, I = 206, hkl 6 3 1

Structural model:
Lattice parameters (Å, degrees): 8.5364 8.5364 4.6709 90.00 90.00 90.00
Space group I4/mmm (No. 139)
One atom of each set of equivalent atoms:
1 Th 0.0000 0.0000 0.0000 x2
2 Fe 0.0000 0.2316 0.5000 x8
3 Fe 0.0000 0.3601 0.0000 x8
4 Fe 0.2500 0.2500 0.2500 x8

---

# Be3V2Fe
Calculated X-ray powder pattern, Cu Kα, 1.54184 Å. Input: a cell relaxed with GGA-PBE.

The 8 most intense peaks (10 to 80 degrees two-theta), sorted by position:
2θ 24.52, I = 719, hkl 0 0 3; 2θ 28.66, I = 333, hkl 0 1 2; 2θ 41.18, I = 1000, hkl 1 1 0; 2θ 48.16, I = 483, hkl 0 1 5; 2θ 48.51, I = 934, hkl 1 1 3; 2θ 50.94, I = 130, hkl 2 0 2; 2θ 73.96, I = 149, hkl 0 1 8; 2θ 75.06, I = 142, hkl 3 0 0

Structural model:
Lattice parameters (Å, degrees): 4.3839 4.3839 10.8925 90.00 90.00 120.00
Space group R-3m (No. 166, hexagonal axes)
One atom of each set of equivalent atoms:
1 Be 0.0000 0.5000 0.0000 x9
2 V 0.0000 0.0000 0.1248 x6
3 Fe 0.0000 0.0000 0.5000 x3